Record 1
Starting from the GGA-PBE geometry in Alexandria, the powder X-ray diffraction pattern of K2NaAg3C6N6 was computed for Cu Kα.

Crystal structure
abc: 7.187 7.187 8.653
angles: 90.00 90.00 120.00
Sites, in units of the cell vectors:
K (0.333, 0.667, 0.000)
K (0.667, 0.333, 0.000)
Na (0.000, 0.000, 0.000)
Ag (0.000, 0.500, 0.500)
Ag (0.500, 0.000, 0.500)
Ag (0.500, 0.500, 0.500)
C (0.000, 0.368, 0.711)
C (0.000, 0.632, 0.289)
C (0.368, 0.000, 0.711)
C (0.368, 0.368, 0.289)
C (0.632, 0.000, 0.289)
C (0.632, 0.632, 0.711)
N (0.000, 0.298, 0.833)
N (0.000, 0.702, 0.167)
N (0.298, 0.000, 0.833)
N (0.298, 0.298, 0.167)
N (0.702, 0.000, 0.167)
N (0.702, 0.702, 0.833)

Peak list (10 most intense, 2θ = 10–90°, sorted by position)
| Position (°2θ) | intensity |
| --- | --- |
| 10.22 | 59 |
| 14.23 | 37 |
| 17.55 | 31 |
| 20.53 | 37 |
| 26.86 | 59 |
| 28.69 | 45 |
| 30.53 | 100 |
| 35.53 | 49 |
| 42.74 | 30 |
| 55.37 | 28 |

Record 2
Starting from the GGA-PBE geometry in Alexandria, the powder X-ray diffraction pattern of SmMg2AlAu2 was computed for Cu Kα.

Crystal structure
abc: 6.616 6.616 6.616
angles: 133.51 133.51 67.86
Sites, in units of the cell vectors:
Sm (0.000, 0.000, 0.000)
Mg (0.250, 0.750, 0.500)
Mg (0.750, 0.250, 0.500)
Al (0.500, 0.500, 0.000)
Au (0.277, 0.277, 0.000)
Au (0.723, 0.723, 0.000)

Peak list (10 most intense, 2θ = 10–90°, sorted by position)
| Position (°2θ) | intensity |
| --- | --- |
| 16.15 | 28 |
| 24.10 | 100 |
| 29.81 | 44 |
| 32.62 | 25 |
| 34.34 | 59 |
| 40.97 | 35 |
| 46.10 | 27 |
| 48.09 | 34 |
| 49.35 | 21 |
| 55.65 | 21 |